Starting from a structure optimized by DFT (PBE), the PXRD pattern of Pm12TlRu6 was calculated for Cu Kα.

Most intense lines, 2θ from 10° to 80°, sorted by position:
| Position (°2θ) | I (rel.) |
| --- | --- |
| 27.9 | 157 |
| 30.6 | 471 |
| 33.2 | 1000 |
| 35.5 | 228 |
| 37.8 | 103 |
| 45.8 | 284 |
| 52.8 | 242 |
| 54.5 | 121 |
| 56.1 | 318 |
| 65.3 | 209 |
| 68.2 | 76 |
| 79.3 | 66 |

Structural model:
a = 8.753 Å, b = 8.753 Å, c = 8.753 Å
α = 109.47°, β = 109.47°, γ = 109.47°
Sites, in units of the cell vectors:
Pm  0.102  0.299  0.804
Pm  0.196  0.495  0.299
Pm  0.196  0.898  0.701
Pm  0.299  0.196  0.495
Pm  0.299  0.804  0.102
Pm  0.495  0.299  0.196
Pm  0.505  0.701  0.804
Pm  0.701  0.196  0.898
Pm  0.701  0.804  0.505
Pm  0.804  0.102  0.299
Pm  0.804  0.505  0.701
Pm  0.898  0.701  0.196
Tl  0.000  0.000  0.000
Ru  0.121  0.500  0.621
Ru  0.379  0.879  0.500
Ru  0.500  0.379  0.879
Ru  0.500  0.621  0.121
Ru  0.621  0.121  0.500
Ru  0.879  0.500  0.379


Starting from a structure optimized by DFT (PBE), the PXRD pattern of CdIn2Bi2Pb4 was calculated for Cu Kα.

Most intense lines, 2θ from 10° to 80°, sorted by position:
| Position (°2θ) | I (rel.) |
| --- | --- |
| 27.3 | 320 |
| 27.9 | 682 |
| 29.7 | 458 |
| 30.2 | 466 |
| 32.0 | 631 |
| 32.1 | 491 |
| 32.3 | 1000 |
| 32.9 | 729 |
| 33.4 | 484 |
| 34.3 | 502 |
| 37.6 | 352 |
| 42.4 | 311 |

Structural model:
a = 6.502 Å, b = 6.802 Å, c = 7.066 Å
α = 78.34°, β = 66.04°, γ = 80.77°
Sites, in units of the cell vectors:
Cd  0.000  0.000  0.000
In  0.386  0.166  0.642
In  0.614  0.834  0.358
Bi  0.264  0.219  0.215
Bi  0.736  0.781  0.785
Pb  0.165  0.700  0.338
Pb  0.264  0.602  0.815
Pb  0.736  0.398  0.185
Pb  0.835  0.300  0.662